1.
Structure and computed powder XRD pattern of Pm2Zn6Ir3 (the GGA-PBE geometry in Alexandria; Cu Kα).
Intensities are scaled so that the largest is 1000.

The 6 most intense peaks (10 to 80 degrees two-theta), low angle first:
Position (°2θ)  intensity
23.2  320
32.3  1000
35.1  291
40.8  324
42.5  612
49.6  261

Atomic structure:
Cell: 7.655 7.655 4.026 Å, 90.00 90.00 120.00°
Atoms (fractional coordinates):
Pm  0.333  0.667  0.000
Pm  0.667  0.333  0.000
Zn  0.000  0.194  0.000
Zn  0.000  0.726  0.500
Zn  0.194  0.000  0.000
Zn  0.274  0.274  0.500
Zn  0.726  0.000  0.500
Zn  0.806  0.806  0.000
Ir  0.000  0.393  0.500
Ir  0.393  0.000  0.500
Ir  0.607  0.607  0.500


2.
Structure and computed powder XRD pattern of Pm3ZnIr2 (the GGA-PBE geometry in Alexandria; Cu Kα).
Intensities are scaled so that the largest is 1000.

The 6 most intense peaks (10 to 80 degrees two-theta), low angle first:
Position (°2θ)  intensity
30.5  508
31.5  691
32.4  586
34.9  1000
44.2  597
44.6  562

Atomic structure:
Cell: 11.923 4.101 11.823 Å, 90.00 90.00 90.00°
Atoms (fractional coordinates):
Pm  0.053  0.250  0.124
Pm  0.128  0.750  0.573
Pm  0.200  0.250  0.822
Pm  0.300  0.750  0.322
Pm  0.372  0.250  0.073
Pm  0.447  0.750  0.624
Pm  0.553  0.250  0.376
Pm  0.628  0.750  0.927
Pm  0.700  0.250  0.678
Pm  0.800  0.750  0.178
Pm  0.872  0.250  0.427
Pm  0.947  0.750  0.876
Zn  0.124  0.250  0.379
Zn  0.376  0.750  0.879
Zn  0.624  0.250  0.121
Zn  0.876  0.750  0.621
Ir  0.012  0.750  0.312
Ir  0.184  0.750  0.991
Ir  0.316  0.250  0.491
Ir  0.488  0.250  0.812
Ir  0.512  0.750  0.188
Ir  0.684  0.750  0.509
Ir  0.816  0.250  0.009
Ir  0.988  0.250  0.688


3.
Structure and computed powder XRD pattern of Pm3ZnIr8 (the GGA-PBE geometry in Alexandria; Cu Kα).
Intensities are scaled so that the largest is 1000.

The 6 most intense peaks (10 to 80 degrees two-theta), low angle first:
Position (°2θ)  intensity
20.2  298
33.4  214
39.3  1000
39.4  318
41.1  540
63.6  320

Atomic structure:
Cell: 9.287 9.287 9.287 Å, 33.67 33.67 33.67°
Atoms (fractional coordinates):
Pm  0.000  0.000  0.000
Pm  0.128  0.128  0.128
Pm  0.511  0.511  0.511
Zn  0.638  0.638  0.638
Ir  0.064  0.565  0.565
Ir  0.067  0.067  0.568
Ir  0.067  0.568  0.067
Ir  0.315  0.315  0.315
Ir  0.565  0.064  0.565
Ir  0.565  0.565  0.064
Ir  0.568  0.067  0.067
Ir  0.816  0.816  0.816


4.
Structure and computed powder XRD pattern of Pr5Ir3 (the GGA-PBE geometry in Alexandria; Cu Kα).
Intensities are scaled so that the largest is 1000.

The 6 most intense peaks (10 to 80 degrees two-theta), low angle first:
Position (°2θ)  intensity
22.1  315
28.3  360
31.4  310
32.3  419
35.3  1000
36.9  290

Atomic structure:
Cell: 11.363 11.363 6.621 Å, 90.00 90.00 90.00°
Atoms (fractional coordinates):
Pr  0.042  0.159  0.116
Pr  0.042  0.341  0.616
Pr  0.159  0.042  0.616
Pr  0.159  0.458  0.116
Pr  0.250  0.750  0.000
Pr  0.250  0.750  0.500
Pr  0.341  0.042  0.116
Pr  0.341  0.458  0.616
Pr  0.458  0.159  0.616
Pr  0.458  0.341  0.116
Pr  0.542  0.659  0.884
Pr  0.542  0.841  0.384
Pr  0.659  0.542  0.384
Pr  0.659  0.958  0.884
Pr  0.750  0.250  0.000
Pr  0.750  0.250  0.500
Pr  0.841  0.542  0.884
Pr  0.841  0.958  0.384
Pr  0.958  0.659  0.384
Pr  0.958  0.841  0.884
Ir  0.096  0.596  0.750
Ir  0.096  0.904  0.250
Ir  0.250  0.250  0.379
Ir  0.250  0.250  0.879
Ir  0.404  0.596  0.250
Ir  0.404  0.904  0.750
Ir  0.596  0.096  0.250
Ir  0.596  0.404  0.750
Ir  0.750  0.750  0.121
Ir  0.750  0.750  0.621
Ir  0.904  0.096  0.750
Ir  0.904  0.404  0.250